No. 1
The following is a calculated powder X-ray diffraction pattern of Ho4InIrRu2. It was derived from DFT lattice parameters and positions (PBE), using CuKα.

Crystal structure
a b c (Å): 8.5806 8.5806 8.5806
angles (deg): 33.17 33.17 33.17
Fractional positions:
Ho 0.1179 0.1179 0.1179
Ho 0.3704 0.3704 0.3704
Ho 0.6296 0.6296 0.6296
Ho 0.8821 0.8821 0.8821
In 0.5000 0.5000 0.5000
Ir 0.0000 0.0000 0.0000
Ru 0.2484 0.2484 0.2484
Ru 0.7516 0.7516 0.7516

Top 6 peaks for 2θ from 5° to 70°, in order of rising 2θ:
2θ (°), d (Å), I_rel
36.37, 2.470, 97
36.69, 2.449, 100
52.62, 1.739, 34
65.24, 1.430, 15
65.86, 1.418, 34
66.07, 1.414, 18



No. 2
The following is a calculated powder X-ray diffraction pattern of K2HoInS4. It was derived from DFT lattice parameters and positions (PBE), using CuKα.

Crystal structure
a b c (Å): 8.2901 8.2901 8.2901
angles (deg): 120.63 120.07 89.39
Fractional positions:
K 0.0000 0.0000 0.0000
K 0.5000 0.0000 0.0000
K 0.5000 0.0000 0.5000
K 0.5000 0.5000 0.5000
Ho 0.0000 0.5000 0.5000
Ho 0.5000 0.5000 0.0000
In 0.0000 0.0000 0.5000
In 0.0000 0.5000 0.0000
S 0.2015 0.7369 0.4646
S 0.2277 0.2631 0.9646
S 0.2358 0.2643 0.5284
S 0.2358 0.7074 0.9716
S 0.7642 0.2926 0.0284
S 0.7642 0.7357 0.4716
S 0.7723 0.7369 0.0354
S 0.7985 0.2631 0.5354

Top 6 peaks for 2θ from 5° to 70°, in order of rising 2θ:
2θ (°), d (Å), I_rel
13.12, 6.750, 89
26.31, 3.388, 34
26.46, 3.369, 33
30.33, 2.947, 52
30.67, 2.915, 100
43.69, 2.072, 87



No. 3
The following is a calculated powder X-ray diffraction pattern of LaHo3In4. It was derived from DFT lattice parameters and positions (PBE), using CuKα.

Crystal structure
a b c (Å): 10.8362 7.3011 5.5436
angles (deg): 90.00 90.00 90.00
Fractional positions:
La 0.0000 0.0000 0.0000
La 0.5000 0.0000 0.0000
Ho 0.0000 0.5000 0.0000
Ho 0.2500 0.0000 0.4336
Ho 0.2500 0.5000 0.4175
Ho 0.5000 0.5000 0.0000
Ho 0.7500 0.0000 0.5664
Ho 0.7500 0.5000 0.5825
In 0.0000 0.2634 0.5000
In 0.0000 0.7366 0.5000
In 0.2500 0.2625 0.9138
In 0.2500 0.7375 0.9138
In 0.5000 0.2634 0.5000
In 0.5000 0.7366 0.5000
In 0.7500 0.2625 0.0862
In 0.7500 0.7375 0.0862

Top 6 peaks for 2θ from 5° to 70°, in order of rising 2θ:
2θ (°), d (Å), I_rel
32.30, 2.772, 19
33.07, 2.709, 30
33.37, 2.685, 11
33.73, 2.657, 100
46.90, 1.937, 13
59.49, 1.554, 19